# Tb3ThSe4
Theoretical X-ray powder pattern, Cu Kα. Input: a PBE-relaxed structure.
Neutral-atom scattering factors, no anomalous dispersion.

Most intense lines, 10 to 80 degrees two-theta, by intensity:
| Position (°2θ) | Rel. int. | hkl |
| --- | --- | --- |
| 30.1 | 100 | 1 0 5 |
| 31.9 | 78 | 1 0 6 |
| 44.8 | 70 | 1 1 0 |
| 44.0 | 42 | 1 0 11 |
| 27.2 | 38 | 1 0 3 |
| 71.2 | 33 | 1 1 16 |
| 41.3 | 24 | 1 0 10 |
| 54.9 | 19 | 2 0 5 |
| 56.0 | 16 | 2 0 6 |
| 73.4 | 16 | 2 1 5 |

Structure:
```
data_Tb3ThSe4
_space_group_name_H-M_alt 'P 63/m m c'
_space_group_IT_number 194
_space_group_name_Hall '-P 6c 2c'
_cell_length_a 4.0498
_cell_length_b 4.0498
_cell_length_c 27.9846
_cell_angle_alpha 90.00
_cell_angle_beta 90.00
_cell_angle_gamma 120.00
loop_
_atom_site_label
_atom_site_fract_x
_atom_site_fract_y
_atom_site_fract_z
_atom_site_occupancy
Tb1 0.0000 0.0000 0.0000 1
Tb2 0.3333 0.6667 0.1220 1
Th1 0.3333 0.6667 0.7500 1
Se1 0.0000 0.0000 0.1823 1
Se2 0.3333 0.6667 0.5608 1
```

***

# LaSm8Dy4
Theoretical X-ray powder pattern, Cu Kα. Input: a PBE-relaxed structure.
Neutral-atom scattering factors, no anomalous dispersion.

Most intense lines, 10 to 80 degrees two-theta, by intensity:
| Position (°2θ) | Rel. int. | hkl |
| --- | --- | --- |
| 33.3 | 100 | 2 2 2 |
| 30.7 | 41 | 4 0 0 |
| 25.3 | 25 | 0 2 1 |
| 30.1 | 23 | 2 0 3 |
| 30.0 | 23 | 2 0 -3 |
| 40.2 | 15 | 4 2 1 |
| 50.3 | 14 | 0 2 5 |
| 58.2 | 12 | 2 4 3 |
| 56.3 | 11 | 6 2 2 |
| 56.2 | 11 | 6 2 -2 |

Structure:
```
data_LaSm8Dy4
_space_group_name_H-M_alt 'C 1 2/m 1'
_space_group_IT_number 12
_space_group_name_Hall '-C 2y'
_cell_length_a 11.6465
_cell_length_b 7.4900
_cell_length_c 10.3669
_cell_angle_alpha 90.00
_cell_angle_beta 90.33
_cell_angle_gamma 90.00
loop_
_atom_site_label
_atom_site_fract_x
_atom_site_fract_y
_atom_site_fract_z
_atom_site_occupancy
La1 0.0000 0.0000 0.0000 1
Sm1 0.0023 0.2829 0.7887 1
Sm2 0.2393 0.0000 0.3084 1
Sm3 0.2424 0.0000 0.6908 1
Dy1 0.0000 0.0000 0.5000 1
Dy2 0.0000 0.5000 0.5000 1
Dy3 0.2500 0.2500 0.0000 1
```

***

# SiGeCl
Theoretical X-ray powder pattern, Cu Kα. Input: a PBE-relaxed structure.
Neutral-atom scattering factors, no anomalous dispersion.

Most intense lines, 10 to 80 degrees two-theta, by intensity:
| Position (°2θ) | Rel. int. | hkl |
| --- | --- | --- |
| 27.0 | 100 | 1 0 1 |
| 45.5 | 35 | 2 1 0 |
| 31.0 | 22 | 0 0 4 |
| 25.8 | 15 | 1 1 0 |
| 53.7 | 13 | 2 2 1 |
| 56.2 | 11 | 2 1 -4 |
| 56.0 | 11 | 1 2 4 |
| 47.2 | 10 | 1 0 5 |
| 47.4 | 10 | 1 1 -5 |
| 47.3 | 10 | 0 1 5 |

Structure:
```
data_SiGeCl
_space_group_name_H-M_alt 'P -1'
_space_group_IT_number 2
_space_group_name_Hall '-P 1'
_cell_length_a 3.9833
_cell_length_b 3.9835
_cell_length_c 11.5563
_cell_angle_alpha 89.85
_cell_angle_beta 89.72
_cell_angle_gamma 60.00
loop_
_atom_site_label
_atom_site_fract_x
_atom_site_fract_y
_atom_site_fract_z
_atom_site_occupancy
Si1 0.1642 0.1669 0.1741 1
Ge1 0.4985 0.5003 0.1074 1
Cl1 0.1616 0.1663 0.3536 1
```

***

# Ba2InSn2Hg4
Theoretical X-ray powder pattern, Cu Kα. Input: a PBE-relaxed structure.
Neutral-atom scattering factors, no anomalous dispersion.

Most intense lines, 10 to 80 degrees two-theta, by intensity:
| Position (°2θ) | Rel. int. | hkl |
| --- | --- | --- |
| 29.7 | 100 | 2 0 2 |
| 34.3 | 51 | 2 2 0 |
| 49.6 | 27 | 2 2 4 |
| 34.7 | 22 | 0 0 4 |
| 58.6 | 20 | 4 2 2 |
| 37.7 | 19 | 2 1 3 |
| 17.2 | 16 | 0 0 2 |
| 45.2 | 16 | 3 0 3 |
| 49.3 | 15 | 4 0 0 |
| 61.7 | 11 | 4 0 4 |

Structure:
```
data_Ba2InSn2Hg4
_space_group_name_H-M_alt 'I 4/m m m'
_space_group_IT_number 139
_space_group_name_Hall '-I 4 2'
_cell_length_a 7.3989
_cell_length_b 7.3989
_cell_length_c 10.3335
_cell_angle_alpha 90.00
_cell_angle_beta 90.00
_cell_angle_gamma 90.00
loop_
_atom_site_label
_atom_site_fract_x
_atom_site_fract_y
_atom_site_fract_z
_atom_site_occupancy
Ba1 0.0000 0.5000 0.2500 1
In1 0.0000 0.0000 0.0000 1
Sn1 0.0000 0.0000 0.3026 1
Hg1 0.2198 0.2198 0.5000 1
```

***

# La4Eu2Ru
Theoretical X-ray powder pattern, Cu Kα. Input: a PBE-relaxed structure.
Neutral-atom scattering factors, no anomalous dispersion.

Most intense lines, 10 to 80 degrees two-theta, by intensity:
| Position (°2θ) | Rel. int. | hkl |
| --- | --- | --- |
| 29.8 | 100 | 1 1 4 |
| 32.4 | 98 | 2 0 0 |
| 43.7 | 72 | 2 0 6 |
| 24.7 | 58 | 1 1 2 |
| 28.6 | 57 | 0 0 6 |
| 22.7 | 44 | 1 1 0 |
| 46.4 | 36 | 2 2 0 |
| 55.4 | 36 | 2 2 6 |
| 56.1 | 34 | 3 1 4 |
| 54.3 | 26 | 1 1 10 |

Structure:
```
data_La4Eu2Ru
_space_group_name_H-M_alt 'I 4/m m m'
_space_group_IT_number 139
_space_group_name_Hall '-I 4 2'
_cell_length_a 5.5332
_cell_length_b 5.5332
_cell_length_c 18.7147
_cell_angle_alpha 90.00
_cell_angle_beta 90.00
_cell_angle_gamma 90.00
loop_
_atom_site_label
_atom_site_fract_x
_atom_site_fract_y
_atom_site_fract_z
_atom_site_occupancy
La1 0.0000 0.0000 0.1500 1
La2 0.0000 0.5000 0.0000 1
Eu1 0.0000 0.0000 0.3445 1
Ru1 0.0000 0.0000 0.0000 1
```

***

# Cs2RbTcBr6
Theoretical X-ray powder pattern, Cu Kα. Input: a PBE-relaxed structure.
Neutral-atom scattering factors, no anomalous dispersion.

Most intense lines, 10 to 80 degrees two-theta, by intensity:
| Position (°2θ) | Rel. int. | hkl |
| --- | --- | --- |
| 29.3 | 100 | 0 2 7 |
| 11.1 | 81 | 0 0 6 |
| 33.4 | 62 | 2 0 11 |
| 46.3 | 56 | 2 2 0 |
| 27.9 | 46 | 2 0 5 |
| 22.7 | 41 | 1 1 0 |
| 58.4 | 26 | 2 2 18 |
| 13.5 | 26 | 0 1 2 |
| 33.6 | 24 | 0 0 18 |
| 37.3 | 21 | 2 0 14 |

Structure:
```
data_Cs2RbTcBr6
_space_group_name_H-M_alt 'R -3 m'
_space_group_IT_number 166
_space_group_name_Hall '-R 3 2"'
_cell_length_a 7.8453
_cell_length_b 7.8453
_cell_length_c 47.9452
_cell_angle_alpha 90.00
_cell_angle_beta 90.00
_cell_angle_gamma 120.00
loop_
_atom_site_label
_atom_site_fract_x
_atom_site_fract_y
_atom_site_fract_z
_atom_site_occupancy
Cs1 0.0000 0.0000 0.1393 1
Cs2 0.0000 0.0000 0.3070 1
Rb1 0.0000 0.0000 0.4142 1
Tc1 0.0000 0.0000 0.0000 1
Tc2 0.0000 0.0000 0.5000 1
Br1 0.0216 0.5108 0.1357 1
Br2 0.0258 0.5129 0.6981 1
```

***

# Na5SnP3
Theoretical X-ray powder pattern, Cu Kα. Input: a PBE-relaxed structure.
Neutral-atom scattering factors, no anomalous dispersion.

Most intense lines, 10 to 80 degrees two-theta, by intensity:
| Position (°2θ) | Rel. int. | hkl |
| --- | --- | --- |
| 38.1 | 100 | 2 0 -4 |
| 38.2 | 50 | 4 2 -2 |
| 16.6 | 42 | 1 1 -1 |
| 12.5 | 42 | 2 0 0 |
| 23.1 | 31 | 1 1 -2 |
| 26.8 | 29 | 0 2 0 |
| 18.8 | 28 | 1 1 1 |
| 19.8 | 26 | 0 0 2 |
| 69.0 | 21 | 6 2 -6 |
| 31.6 | 15 | 1 1 -3 |

Structure:
```
data_Na5SnP3
_space_group_name_H-M_alt 'C 1 2/c 1'
_space_group_IT_number 15
_space_group_name_Hall '-C 2yc'
_cell_length_a 14.8999
_cell_length_b 6.6697
_cell_length_c 9.4482
_cell_angle_alpha 90.00
_cell_angle_beta 108.02
_cell_angle_gamma 90.00
loop_
_atom_site_label
_atom_site_fract_x
_atom_site_fract_y
_atom_site_fract_z
_atom_site_occupancy
Na1 0.0000 0.2450 0.2500 1
Na2 0.1620 0.2514 0.5648 1
Na3 0.1686 0.2433 0.0947 1
Sn1 0.0000 0.2489 0.7500 1
P1 0.0000 0.5000 0.0000 1
P2 0.1514 0.0444 0.8199 1
```

***

# Tb7Pm16Dy6
Theoretical X-ray powder pattern, Cu Kα. Input: a PBE-relaxed structure.
Neutral-atom scattering factors, no anomalous dispersion.

Most intense lines, 10 to 80 degrees two-theta, by intensity:
| Position (°2θ) | Rel. int. | hkl |
| --- | --- | --- |
| 31.7 | 100 | 4 4 0 |
| 56.5 | 27 | 8 4 4 |
| 45.5 | 14 | 8 0 0 |
| 29.1 | 10 | 3 3 3 |
| 75.4 | 8 | 12 4 0 |
| 66.3 | 8 | 8 8 0 |
| 27.4 | 6 | 4 2 2 |
| 43.6 | 6 | 7 3 1 |
| 60.0 | 6 | 7 7 3 |
| 33.2 | 5 | 5 3 1 |

Structure:
```
data_Tb7Pm16Dy6
_space_group_name_H-M_alt 'F m -3 m'
_space_group_IT_number 225
_space_group_name_Hall '-F 4 2 3'
_cell_length_a 15.9478
_cell_length_b 15.9478
_cell_length_c 15.9478
_cell_angle_alpha 90.00
_cell_angle_beta 90.00
_cell_angle_gamma 90.00
loop_
_atom_site_label
_atom_site_fract_x
_atom_site_fract_y
_atom_site_fract_z
_atom_site_occupancy
Tb1 0.0000 0.0000 0.0000 1
Tb2 0.0000 0.2500 0.2500 1
Pm1 0.1250 0.1250 0.1250 1
Pm2 0.1501 0.1501 0.3499 1
Dy1 0.0000 0.0000 0.2671 1
```

***

# K3Sr2Cl3O2
Theoretical X-ray powder pattern, Cu Kα. Input: a PBE-relaxed structure.
Neutral-atom scattering factors, no anomalous dispersion.

Most intense lines, 10 to 80 degrees two-theta, by intensity:
| Position (°2θ) | Rel. int. | hkl |
| --- | --- | --- |
| 27.6 | 100 | 1 1 2 |
| 27.9 | 86 | 0 0 8 |
| 30.2 | 82 | 1 1 4 |
| 38.1 | 80 | 2 0 0 |
| 47.9 | 69 | 2 0 8 |
| 34.1 | 62 | 1 1 6 |
| 13.8 | 40 | 0 0 4 |
| 44.6 | 36 | 1 1 10 |
| 62.7 | 29 | 2 2 8 |
| 55.0 | 25 | 2 2 0 |

Structure:
```
data_K3Sr2Cl3O2
_space_group_name_H-M_alt 'I 4/m m m'
_space_group_IT_number 139
_space_group_name_Hall '-I 4 2'
_cell_length_a 4.7258
_cell_length_b 4.7258
_cell_length_c 25.5918
_cell_angle_alpha 90.00
_cell_angle_beta 90.00
_cell_angle_gamma 90.00
loop_
_atom_site_label
_atom_site_fract_x
_atom_site_fract_y
_atom_site_fract_z
_atom_site_occupancy
K1 0.0000 0.0000 0.0000 1
K2 0.0000 0.0000 0.3790 1
Sr1 0.0000 0.5000 0.2500 1
Cl1 0.0000 0.0000 0.1284 1
Cl2 0.0000 0.0000 0.5000 1
O1 0.0000 0.0000 0.2765 1
```

***

# Mn2Nb3Os
Theoretical X-ray powder pattern, Cu Kα. Input: a PBE-relaxed structure.
Neutral-atom scattering factors, no anomalous dispersion.

Most intense lines, 10 to 80 degrees two-theta, by intensity:
| Position (°2θ) | Rel. int. | hkl |
| --- | --- | --- |
| 40.9 | 100 | 1 0 3 |
| 41.2 | 50 | 1 1 0 |
| 74.9 | 32 | 2 1 3 |
| 59.7 | 16 | 2 0 0 |
| 74.2 | 16 | 1 1 6 |
| 30.4 | 13 | 1 0 1 |
| 34.6 | 12 | 1 0 2 |
| 58.7 | 8 | 0 0 6 |
| 18.8 | 6 | 0 0 2 |
| 42.4 | 4 | 1 1 1 |

Structure:
```
data_Mn2Nb3Os
_space_group_name_H-M_alt 'P 4/m m m'
_space_group_IT_number 123
_space_group_name_Hall '-P 4 2'
_cell_length_a 3.0974
_cell_length_b 3.0974
_cell_length_c 9.4352
_cell_angle_alpha 90.00
_cell_angle_beta 90.00
_cell_angle_gamma 90.00
loop_
_atom_site_label
_atom_site_fract_x
_atom_site_fract_y
_atom_site_fract_z
_atom_site_occupancy
Mn1 0.0000 0.0000 0.1634 1
Nb1 0.5000 0.5000 0.0000 1
Nb2 0.5000 0.5000 0.3214 1
Os1 0.0000 0.0000 0.5000 1
```

***

# LiZr2HPt
Theoretical X-ray powder pattern, Cu Kα. Input: a PBE-relaxed structure.
Neutral-atom scattering factors, no anomalous dispersion.

Most intense lines, 10 to 80 degrees two-theta, by intensity:
| Position (°2θ) | Rel. int. | hkl |
| --- | --- | --- |
| 37.2 | 100 | 1 1 1 |
| 20.0 | 55 | 1 0 0 |
| 40.7 | 39 | 2 0 0 |
| 31.0 | 39 | 1 0 1 |
| 71.7 | 29 | 3 1 1 |
| 64.6 | 20 | 2 0 2 |
| 52.0 | 19 | 2 1 1 |
| 45.7 | 13 | 2 1 0 |
| 58.9 | 13 | 2 2 0 |
| 47.9 | 12 | 0 0 2 |

Structure:
```
data_LiZr2HPt
_space_group_name_H-M_alt 'P 4/m m m'
_space_group_IT_number 123
_space_group_name_Hall '-P 4 2'
_cell_length_a 4.4355
_cell_length_b 4.4355
_cell_length_c 3.7994
_cell_angle_alpha 90.00
_cell_angle_beta 90.00
_cell_angle_gamma 90.00
loop_
_atom_site_label
_atom_site_fract_x
_atom_site_fract_y
_atom_site_fract_z
_atom_site_occupancy
Li1 0.0000 0.0000 0.0000 1
Zr1 0.0000 0.5000 0.5000 1
H1 0.0000 0.0000 0.5000 1
Pt1 0.5000 0.5000 0.0000 1
```

***

# YTh2Au3
Theoretical X-ray powder pattern, Cu Kα. Input: a PBE-relaxed structure.
Neutral-atom scattering factors, no anomalous dispersion.

Most intense lines, 10 to 80 degrees two-theta, by intensity:
| Position (°2θ) | Rel. int. | hkl |
| --- | --- | --- |
| 34.8 | 100 | 1 3 1 |
| 33.1 | 27 | 0 6 0 |
| 34.6 | 26 | 2 0 0 |
| 62.2 | 21 | 3 3 1 |
| 48.7 | 19 | 2 6 0 |
| 60.3 | 18 | 1 9 1 |
| 73.4 | 12 | 2 6 2 |
| 63.4 | 9 | 2 0 2 |
| 62.4 | 9 | 0 6 2 |
| 51.3 | 9 | 0 0 2 |

Structure:
```
data_YTh2Au3
_space_group_name_H-M_alt 'P m m n'
_space_group_IT_number 59
_cell_length_a 5.1804
_cell_length_b 16.2193
_cell_length_c 3.5629
_cell_angle_alpha 90.00
_cell_angle_beta 90.00
_cell_angle_gamma 90.00
loop_
_space_group_symop_operation_xyz
'x,y,z'
'-x,-y,-z'
'-x+1/2,-y+1/2,z'
'x+1/2,y+1/2,-z'
'x+1/2,-y,-z'
'-x+1/2,y,z'
'-x,y+1/2,-z'
'x,-y+1/2,z'
loop_
_atom_site_label
_atom_site_fract_x
_atom_site_fract_y
_atom_site_fract_z
_atom_site_occupancy
Y1 0.2500 0.2500 0.0013 1
Th1 0.2500 0.5801 0.9984 1
Au1 0.2500 0.0949 0.5012 1
Au2 0.2500 0.7500 0.4993 1
```